Computed powder diffractogram
Compound: YMgTlBr6
Radiation: Cu Kα, 1.54184 Å
Structure: a crystal structure in Alexandria, relaxed with GGA-PBE

Main lines, most intense first (10 to 80 degrees two-theta):
index, two_theta, Rel. int.
1 0 2, 18.8, 100.0
2 -1 2, 27.7, 91.4
1 1 4, 35.1, 87.3
3 0 0, 43.7, 39.7
2 1 2, 40.3, 34.8
2 0 0, 28.7, 20.7
4 -1 2, 54.7, 20.1
2 0 2, 31.3, 19.9
1 0 4, 28.4, 19.8
4 -2 4, 57.2, 16.9
2 -1 6, 45.1, 15.1
2 0 6, 47.5, 14.5

Atomic structure:
```
data_YMgTlBr6
_chemical_formula_sum 'Y2 Mg2 Tl2 Br12'
_space_group_name_H-M_alt 'P -3 1 c'
_space_group_IT_number 163
_space_group_name_Hall '-P 3 2c'
_cell_length_a 7.1791
_cell_length_b 7.1791
_cell_length_c 14.5717
_cell_angle_alpha 90.00
_cell_angle_beta 90.00
_cell_angle_gamma 120.00
loop_
_atom_site_label
_atom_site_type_symbol
_atom_site_fract_x
_atom_site_fract_y
_atom_site_fract_z
Y1 Y 0.3333 0.6667 0.2500
Mg1 Mg 0.3333 0.6667 0.7500
Tl1 Tl 0.0000 0.0000 0.0000
Br1 Br 0.0113 0.3779 0.6413
```